The following is a computed X-ray powder pattern of CrFeCuF6. It was derived from a PBE+U-relaxed structure, using Cu Kα (weighted mean of Kα1 and Kα2).
Intensities are scaled so that the largest is 100.

Main lines, low angle first (10° ≤ 2θ ≤ 90°):
two_theta  I_rel  h k l
27.35  100.0  1 0 2
33.56  27.7  1 1 0
39.00  26.6  1 1 2
43.82  25.6  2 0 2
52.53  50.9  1 1 4
56.30  23.6  2 1 2
60.00  23.2  3 0 0
83.78  10.6  4 -2 4

a b c (Å): 5.341 5.341 9.194
angles (deg): 90.00 90.00 120.00
Atoms (fractional coordinates):
Cr1 0.333 0.667 0.250
Cr2 0.667 0.333 0.750
Fe1 0.333 0.667 0.750
Fe2 0.667 0.333 0.250
Cu1 0.000 0.000 0.000
Cu2 0.000 0.000 0.500
F1 0.020 0.359 0.134
F2 0.020 0.661 0.366
F3 0.339 0.359 0.366
F4 0.339 0.980 0.134
F5 0.359 0.020 0.634
F6 0.359 0.339 0.866
F7 0.641 0.661 0.134
F8 0.641 0.980 0.366
F9 0.661 0.020 0.866
F10 0.661 0.641 0.634
F11 0.980 0.339 0.634
F12 0.980 0.641 0.866